Structure and computed powder XRD pattern of V3O5F (a cell relaxed with GGA+U; Cu Ka).
Neutral-atom scattering factors, no anomalous dispersion.

Structure:
```
data_V3O5F
_cell_length_a 5.528
_cell_length_b 4.594
_cell_length_c 7.643
_cell_angle_alpha 90.00
_cell_angle_beta 92.83
_cell_angle_gamma 90.00
_symmetry_space_group_name_H-M 'P 1 21 1'
_symmetry_Int_Tables_number 4
_symmetry_space_group_name_Hall 'P 2yb'
loop_
_atom_site_label
_atom_site_fract_x
_atom_site_fract_y
_atom_site_fract_z
_atom_site_occupancy
V1 0.071 0.000 0.338 1
V2 0.250 0.460 0.982 1
V3 0.415 0.953 0.663 1
O1 0.052 0.169 0.104 1
O2 0.114 0.758 0.558 1
O3 0.207 0.268 0.767 1
O4 0.379 0.145 0.429 1
O5 0.451 0.758 0.909 1
F1 0.276 0.661 0.231 1
```

Most intense lines, 10 to 90 degrees two-theta, low angle first:
| (hkl) | Position (°2θ) | Rel. int. |
| --- | --- | --- |
| 1 1 -1 | 27.49 | 100 |
| 2 0 1 | 35.14 | 40 |
| 0 0 3 | 35.27 | 13 |
| 2 1 1 | 40.38 | 11 |
| 0 1 3 | 40.53 | 11 |
| 2 1 -2 | 44.14 | 6 |
| 3 1 0 | 53.65 | 30 |
| 0 2 3 | 53.76 | 14 |
| 1 1 -4 | 53.88 | 14 |
| 2 2 -2 | 56.75 | 18 |
| 2 0 4 | 60.31 | 10 |
| 4 0 -1 | 68.48 | 15 |